Entry 1:
BeH8SO8: simulated PXRD pattern (CuKα), based on DFT lattice parameters and positions (GGA-PBE).
Peak positions follow from Bragg's law for the DFT cell and can differ from measured ones.

Peak list (12 most intense, 10 to 90 degrees two-theta, sorted by position)
Position (°2θ), Rel. int., h k l
15.64, 16, 1 1 0
16.08, 5, 0 0 2
22.19, 23, 2 0 0
22.51, 100, 1 1 2
26.15, 13, 2 1 1
27.53, 17, 2 0 2
34.98, 32, 2 1 3
35.44, 6, 3 1 0
41.46, 11, 3 2 1
47.84, 12, 3 2 3
62.43, 9, 3 1 6
80.42, 5, 5 1 6

Cell and atoms:
Lattice parameters (Å, degrees): 8.0106 8.0106 11.0260 90.00 90.00 90.00
Space group I-4c2 (No. 120)
Inequivalent atoms, fractional coordinates:
Be 0.0000 0.0000 0.0000 [4 per cell]
H 0.0396 0.2307 0.1181 [16 per cell]
H 0.1252 0.2165 0.3859 [16 per cell]
S 0.0000 0.5000 0.2500 [4 per cell]
O 0.0844 0.3714 0.6735 [16 per cell]
O 0.1035 0.1379 0.0776 [16 per cell]



Entry 2:
KPrHf4O12: simulated PXRD pattern (CuKα), based on DFT lattice parameters and positions (GGA-PBE).
Peak positions follow from Bragg's law for the DFT cell and can differ from measured ones.

Peak list (12 most intense, 10 to 90 degrees two-theta, sorted by position)
Position (°2θ), Rel. int., h k l
18.71, 18, 1 1 1
21.46, 30, 2 0 0
21.72, 61, 0 0 2
30.72, 100, 2 2 0
30.91, 49, 0 2 2
43.73, 15, 4 0 0
44.28, 30, 0 0 4
49.34, 13, 4 0 2
49.84, 13, 0 2 4
54.51, 22, 4 2 2
54.86, 42, 2 4 2
63.99, 18, 4 0 4

Cell and atoms:
Lattice parameters (Å, degrees): 8.2801 8.1885 8.1769 90.00 90.00 90.00
Space group Amm2 (No. 38)
Inequivalent atoms, fractional coordinates:
K 0.0000 0.0000 0.0000 [2 per cell]
Pr 0.5000 0.0000 0.4963 [2 per cell]
Hf 0.2441 0.2488 0.7481 [8 per cell]
O 0.0000 0.2348 0.2432 [4 per cell]
O 0.2381 0.0000 0.7716 [4 per cell]
O 0.2814 0.2225 0.4984 [8 per cell]
O 0.2961 0.0000 0.2541 [4 per cell]
O 0.5000 0.2062 0.7321 [4 per cell]



Entry 3:
ReCl3: simulated PXRD pattern (CuKα), based on DFT lattice parameters and positions (GGA-PBE).
Peak positions follow from Bragg's law for the DFT cell and can differ from measured ones.

Peak list (12 most intense, 10 to 90 degrees two-theta, sorted by position)
Position (°2θ), Rel. int., h k l
10.59, 8, 1 0 1
12.30, 13, 0 0 3
12.76, 100, 0 1 2
16.96, 10, 1 1 0
19.14, 15, 1 0 4
22.82, 8, 0 1 5
30.62, 10, 1 0 7
36.00, 18, 1 3 1
37.49, 8, 0 0 9
40.05, 10, 4 0 1
47.73, 10, 1 4 3
52.83, 11, 0 4 8

Cell and atoms:
Lattice parameters (Å, degrees): 10.4566 10.4566 21.5903 90.00 90.00 120.00
Space group R-3m (No. 166, hexagonal axes)
Inequivalent atoms, fractional coordinates:
Re 0.0781 0.1563 0.2772 [18 per cell]
Cl 0.0249 0.5124 0.3884 [18 per cell]
Cl 0.1033 0.2066 0.1746 [18 per cell]
Cl 0.1069 0.2138 0.3855 [18 per cell]



Entry 4:
Li5InO4: simulated PXRD pattern (CuKα), based on DFT lattice parameters and positions (GGA-PBE).
Peak positions follow from Bragg's law for the DFT cell and can differ from measured ones.

Peak list (12 most intense, 10 to 90 degrees two-theta, sorted by position)
Position (°2θ), Rel. int., h k l
18.48, 100, 1 1 0
22.46, 77, 0 1 1
22.82, 57, 1 0 1
25.61, 21, 0 2 0
26.88, 17, 2 0 0
34.56, 44, 1 2 1
35.30, 47, 2 1 1
41.98, 25, 1 1 2
43.30, 19, 0 3 1
52.60, 20, 0 4 0
53.94, 33, 2 2 2
72.84, 14, 4 3 1

Cell and atoms:
Lattice parameters (Å, degrees): 6.6343 6.9574 4.8150 90.00 90.00 90.00
Space group Pmmn (No. 59, origin choice 2)
Inequivalent atoms, fractional coordinates:
Li 0.0120 0.0563 0.2493 [8 per cell]
Li 0.2500 0.7500 0.2342 [2 per cell]
In 0.2500 0.2500 0.7717 [2 per cell]
O 0.0083 0.7500 0.4644 [4 per cell]
O 0.2500 0.5020 0.0086 [4 per cell]



Entry 5:
Li3Ac: simulated PXRD pattern (CuKα), based on DFT lattice parameters and positions (GGA-PBE).
Peak positions follow from Bragg's law for the DFT cell and can differ from measured ones.

Peak list (12 most intense, 10 to 90 degrees two-theta, sorted by position)
Position (°2θ), Rel. int., h k l
18.01, 34, 0 0 2
20.65, 100, 1 0 1
26.36, 28, 1 1 0
32.12, 41, 1 1 2
33.10, 31, 1 0 3
37.63, 13, 2 0 0
42.02, 17, 2 0 2
43.31, 31, 2 1 1
45.58, 13, 1 1 4
50.09, 10, 1 0 5
50.97, 19, 2 1 3
64.48, 12, 3 1 2

Cell and atoms:
Lattice parameters (Å, degrees): 4.7807 4.7807 9.8482 90.00 90.00 90.00
Space group I4/mmm (No. 139)
Inequivalent atoms, fractional coordinates:
Li 0.0000 0.0000 0.0000 [2 per cell]
Li 0.0000 0.5000 0.2500 [4 per cell]
Ac 0.0000 0.0000 0.5000 [2 per cell]